Entry 1:
# Li2TlRu
Theoretical X-ray powder pattern, CuKα. Input: a structure optimized by DFT (PBE).
Kinematic intensities with the Lorentz-polarization factor, no thermal factor.

Crystal structure
Cell: 3.9609 3.9609 4.0662 Å, 90.00 90.00 90.00°
Fractional positions:
Li (0.0000, 0.5000, 0.0000)
Li (0.5000, 0.0000, 0.0000)
Tl (0.0000, 0.0000, 0.5000)
Ru (0.5000, 0.5000, 0.5000)

Peak list (10 most intense, 2θ from 10° to 90°, by intensity)
- (1 1 1), 39.05 deg, intensity 1000
- (0 0 1), 21.86 deg, intensity 969
- (1 1 0), 31.95 deg, intensity 750
- (2 0 1), 51.31 deg, intensity 399
- (2 0 0), 45.82 deg, intensity 318
- (1 1 2), 55.88 deg, intensity 310
- (3 1 1), 80.18 deg, intensity 249
- (2 0 2), 65.83 deg, intensity 216
- (1 0 0), 22.45 deg, intensity 184
- (0 0 2), 44.57 deg, intensity 172

Entry 2:
# LiRuW2
Theoretical X-ray powder pattern, CuKα. Input: a structure optimized by DFT (PBE).
Kinematic intensities with the Lorentz-polarization factor, no thermal factor.

Crystal structure
Cell: 5.2877 8.7221 2.6921 Å, 90.00 107.94 90.00°
Fractional positions:
Li (0.0000, 0.0000, 0.0000)
Li (0.5000, 0.5000, 0.0000)
Ru (0.0000, 0.5000, 0.0000)
Ru (0.5000, 0.0000, 0.0000)
W (0.2500, 0.2500, 0.5000)
W (0.2500, 0.7500, 0.5000)
W (0.7500, 0.2500, 0.5000)
W (0.7500, 0.7500, 0.5000)

Peak list (10 most intense, 2θ from 10° to 90°, by intensity)
- (2 2 0), 41.43 deg, intensity 1000
- (0 2 0), 20.37 deg, intensity 768
- (0 2 1), 40.86 deg, intensity 693
- (2 0 -1), 41.88 deg, intensity 323
- (2 0 0), 35.67 deg, intensity 234
- (2 4 -1), 60.36 deg, intensity 221
- (4 0 0), 75.57 deg, intensity 172
- (0 0 1), 35.03 deg, intensity 153
- (2 2 -1), 46.99 deg, intensity 138
- (2 0 1), 58.85 deg, intensity 119